Record 1
# TbFe11W
Simulated PXRD pattern, Cu Kα, 1.54184 Å. Input: a structure optimized by DFT (GGA-PBE).
Kinematic intensities with the Lorentz-polarization factor, no thermal factor.

Structural model:
```
TbFe11W
1.0
-2.342 4.221 4.269
2.342 -4.221 4.269
2.342 4.221 -4.269
Tb Fe W
1 11 1
direct
0.000 0.000 0.000 Tb
0.005 0.005 0.500 Fe
0.005 0.505 0.000 Fe
0.229 0.508 0.721 Fe
0.235 0.735 0.500 Fe
0.365 0.007 0.358 Fe
0.505 0.005 0.000 Fe
0.505 0.505 0.500 Fe
0.649 0.007 0.642 Fe
0.650 0.650 0.000 Fe
0.775 0.275 0.500 Fe
0.787 0.508 0.279 Fe
0.375 0.375 0.000 W
```

Main lines, by intensity (10° ≤ 2θ ≤ 90°):
2.109 Å, rel. 100.0; 2.100 Å, rel. 49.7; 2.048 Å, rel. 46.9; 2.412 Å, rel. 40.3; 2.432 Å, rel. 33.2; 2.053 Å, rel. 31.5; 4.098 Å, rel. 30.7; 2.955 Å, rel. 28.7; 2.342 Å, rel. 24.7; 1.846 Å, rel. 24.6; 1.892 Å, rel. 21.2; 2.697 Å, rel. 19.5

---

Record 2
# TbZn20Fe2
Simulated PXRD pattern, Cu Kα, 1.54184 Å. Input: a structure optimized by DFT (GGA-PBE).
Kinematic intensities with the Lorentz-polarization factor, no thermal factor.

Structural model:
```
TbZn20Fe2
1.0
0.000 7.021 7.021
7.021 0.000 7.021
7.021 7.021 0.000
Tb Zn Fe
2 40 4
direct
0.125 0.125 0.125 Tb
0.875 0.875 0.875 Tb
0.000 0.000 0.000 Zn
0.000 0.000 0.500 Zn
0.000 0.500 0.000 Zn
0.056 0.327 0.327 Zn
0.056 0.327 0.791 Zn
0.056 0.791 0.327 Zn
0.209 0.673 0.673 Zn
0.209 0.673 0.944 Zn
0.209 0.944 0.673 Zn
0.239 0.239 0.511 Zn
0.239 0.511 0.239 Zn
0.239 0.511 0.511 Zn
0.327 0.056 0.327 Zn
0.327 0.056 0.791 Zn
0.327 0.327 0.056 Zn
0.327 0.327 0.791 Zn
0.327 0.791 0.056 Zn
0.327 0.791 0.327 Zn
0.489 0.489 0.761 Zn
0.489 0.761 0.489 Zn
0.489 0.761 0.761 Zn
0.500 0.000 0.000 Zn
0.511 0.239 0.239 Zn
0.511 0.239 0.511 Zn
0.511 0.511 0.239 Zn
0.673 0.209 0.673 Zn
0.673 0.209 0.944 Zn
0.673 0.673 0.209 Zn
0.673 0.673 0.944 Zn
0.673 0.944 0.209 Zn
0.673 0.944 0.673 Zn
0.761 0.489 0.489 Zn
0.761 0.489 0.761 Zn
0.761 0.761 0.489 Zn
0.791 0.056 0.327 Zn
0.791 0.327 0.056 Zn
0.791 0.327 0.327 Zn
0.944 0.209 0.673 Zn
0.944 0.673 0.209 Zn
0.944 0.673 0.673 Zn
0.000 0.500 0.500 Fe
0.500 0.000 0.500 Fe
0.500 0.500 0.000 Fe
0.500 0.500 0.500 Fe
```

Main lines, by intensity (10° ≤ 2θ ≤ 90°):
2.373 Å, rel. 100.0; 2.141 Å, rel. 67.2; 2.117 Å, rel. 60.4; 2.220 Å, rel. 39.8; 1.241 Å, rel. 35.6; 1.655 Å, rel. 28.4; 1.966 Å, rel. 18.8; 1.191 Å, rel. 17.6; 1.411 Å, rel. 16.5; 1.227 Å, rel. 15.3; 2.027 Å, rel. 14.9; 2.340 Å, rel. 14.4

---

Record 3
# FeTc
Simulated PXRD pattern, Cu Kα, 1.54184 Å. Input: a structure optimized by DFT (GGA-PBE).
Kinematic intensities with the Lorentz-polarization factor, no thermal factor.

Structural model:
```
FeTc
1.0
2.649 0.000 0.000
-1.324 2.294 0.000
0.000 0.000 8.314
Fe Tc
2 2
direct
0.333 0.667 0.386 Fe
0.667 0.333 0.614 Fe
0.333 0.667 0.860 Tc
0.667 0.333 0.140 Tc
```

Main lines, by intensity (10° ≤ 2θ ≤ 90°):
2.008 Å, rel. 100.0; 2.294 Å, rel. 25.9; 2.078 Å, rel. 22.6; 1.117 Å, rel. 16.9; 1.324 Å, rel. 16.4; 1.106 Å, rel. 13.5; 1.540 Å, rel. 13.2; 1.186 Å, rel. 13.1; 8.314 Å, rel. 11.4; 2.211 Å, rel. 9.0; 2.771 Å, rel. 7.3; 1.346 Å, rel. 5.7

---

Record 4
# Fe3Tc
Simulated PXRD pattern, Cu Kα, 1.54184 Å. Input: a structure optimized by DFT (GGA-PBE).
Kinematic intensities with the Lorentz-polarization factor, no thermal factor.

Structural model:
```
Fe3Tc
1.0
4.144 2.392 0.840
-4.144 2.392 0.840
0.000 -4.785 0.840
Fe Tc
3 1
direct
0.000 0.500 0.500 Fe
0.500 0.000 0.500 Fe
0.500 0.500 0.000 Fe
0.000 0.000 0.000 Tc
```

Main lines, by intensity (10° ≤ 2θ ≤ 90°):
2.072 Å, rel. 100.0; 2.063 Å, rel. 98.6; 1.462 Å, rel. 30.2; 1.194 Å, rel. 29.7; 1.196 Å, rel. 14.9; 4.144 Å, rel. 14.8; 1.189 Å, rel. 14.6; 2.392 Å, rel. 3.5; 2.378 Å, rel. 3.4; 1.847 Å, rel. 3.3; 1.566 Å, rel. 2.0; 1.562 Å, rel. 2.0

---

Record 5
# Fe3Tc
Simulated PXRD pattern, Cu Kα, 1.54184 Å. Input: a structure optimized by DFT (GGA-PBE).
Kinematic intensities with the Lorentz-polarization factor, no thermal factor.

Structural model:
```
Fe3Tc
1.0
4.601 0.000 0.000
0.000 4.601 0.000
0.000 0.000 4.601
Fe Tc
6 2
direct
0.000 0.250 0.500 Fe
0.000 0.750 0.500 Fe
0.250 0.500 0.000 Fe
0.500 0.000 0.250 Fe
0.500 0.000 0.750 Fe
0.750 0.500 0.000 Fe
0.000 0.000 0.000 Tc
0.500 0.500 0.500 Tc
```

Main lines, by intensity (10° ≤ 2θ ≤ 90°):
1.878 Å, rel. 100.0; 2.057 Å, rel. 72.4; 2.300 Å, rel. 47.3; 1.230 Å, rel. 46.2; 3.253 Å, rel. 16.6; 1.150 Å, rel. 13.6; 1.276 Å, rel. 13.2; 1.455 Å, rel. 3.3; 1.627 Å, rel. 2.4; 1.328 Å, rel. 1.8

---

Record 6
# FeTcTe2
Simulated PXRD pattern, Cu Kα, 1.54184 Å. Input: a structure optimized by DFT (GGA-PBE).
Kinematic intensities with the Lorentz-polarization factor, no thermal factor.

Structural model:
```
FeTcTe2
1.0
3.812 0.000 0.000
0.000 3.813 0.000
-0.016 0.000 6.721
Fe Tc Te
1 1 2
direct
0.000 0.000 0.000 Fe
0.500 0.500 0.000 Tc
0.501 0.000 0.271 Te
0.999 0.500 0.729 Te
```

Main lines, by intensity (10° ≤ 2θ ≤ 90°):
3.316 Å, rel. 100.0; 2.103 Å, rel. 71.4; 6.721 Å, rel. 37.0; 2.502 Å, rel. 27.7; 1.906 Å, rel. 27.4; 1.652 Å, rel. 19.5; 1.135 Å, rel. 14.2; 1.932 Å, rel. 14.2; 2.240 Å, rel. 8.7; 1.261 Å, rel. 8.6; 1.348 Å, rel. 8.5; 1.680 Å, rel. 7.7

---

Record 7
# Th3Fe7Tc2
Simulated PXRD pattern, Cu Kα, 1.54184 Å. Input: a structure optimized by DFT (GGA-PBE).
Kinematic intensities with the Lorentz-polarization factor, no thermal factor.

Structural model:
```
Th3Fe7Tc2
1.0
2.563 1.480 8.633
-2.563 1.480 8.633
0.000 -2.960 8.633
Th Fe Tc
3 7 2
direct
0.000 0.000 0.000 Th
0.140 0.140 0.140 Th
0.860 0.860 0.860 Th
0.086 0.583 0.583 Fe
0.417 0.417 0.914 Fe
0.417 0.914 0.417 Fe
0.500 0.500 0.500 Fe
0.583 0.086 0.583 Fe
0.583 0.583 0.086 Fe
0.914 0.417 0.417 Fe
0.331 0.331 0.331 Tc
0.669 0.669 0.669 Tc
```

Main lines, by intensity (10° ≤ 2θ ≤ 90°):
2.204 Å, rel. 100.0; 2.563 Å, rel. 71.1; 2.842 Å, rel. 55.5; 2.616 Å, rel. 33.0; 2.212 Å, rel. 30.5; 1.400 Å, rel. 23.1; 4.376 Å, rel. 22.9; 1.282 Å, rel. 19.5; 1.432 Å, rel. 19.1; 4.317 Å, rel. 17.9; 1.528 Å, rel. 17.6; 2.080 Å, rel. 14.4

---

Record 8
# Ti4Fe2Tc3
Simulated PXRD pattern, Cu Kα, 1.54184 Å. Input: a structure optimized by DFT (GGA-PBE).
Kinematic intensities with the Lorentz-polarization factor, no thermal factor.

Structural model:
```
Ti4Fe2Tc3
1.0
4.290 0.000 0.000
-2.145 3.715 0.000
0.000 0.000 7.984
Ti Fe Tc
4 2 3
direct
0.000 0.000 0.177 Ti
0.000 0.000 0.823 Ti
0.333 0.667 0.392 Ti
0.667 0.333 0.608 Ti
0.333 0.667 0.725 Fe
0.667 0.333 0.275 Fe
0.000 0.000 0.500 Tc
0.333 0.667 0.051 Tc
0.667 0.333 0.949 Tc
```

Main lines, by intensity (10° ≤ 2θ ≤ 90°):
2.164 Å, rel. 100.0; 2.145 Å, rel. 98.2; 1.523 Å, rel. 30.7; 1.242 Å, rel. 29.8; 3.368 Å, rel. 21.8; 1.253 Å, rel. 15.0; 1.238 Å, rel. 14.9; 3.992 Å, rel. 6.0; 1.889 Å, rel. 4.8; 1.809 Å, rel. 3.9; 2.720 Å, rel. 3.5; 7.984 Å, rel. 3.4

---

Record 9
# TmFe2Tc
Simulated PXRD pattern, Cu Kα, 1.54184 Å. Input: a structure optimized by DFT (GGA-PBE).
Kinematic intensities with the Lorentz-polarization factor, no thermal factor.

Structural model:
```
TmFe2Tc
1.0
4.476 0.000 0.000
0.000 4.477 0.000
0.000 0.000 15.804
Tm Fe Tc
4 8 4
direct
0.250 0.000 0.125 Tm
0.250 0.500 0.375 Tm
0.750 0.000 0.875 Tm
0.750 0.500 0.625 Tm
0.000 0.000 0.500 Fe
0.000 0.500 0.000 Fe
0.250 0.250 0.750 Fe
0.250 0.750 0.750 Fe
0.500 0.000 0.500 Fe
0.500 0.500 0.000 Fe
0.750 0.250 0.250 Fe
0.750 0.750 0.250 Fe
0.250 0.000 0.625 Tc
0.250 0.500 0.875 Tc
0.750 0.000 0.375 Tc
0.750 0.500 0.125 Tc
```

Main lines, by intensity (10° ≤ 2θ ≤ 90°):
2.938 Å, rel. 100.0; 2.025 Å, rel. 34.5; 1.948 Å, rel. 30.6; 1.469 Å, rel. 24.4; 2.238 Å, rel. 23.3; 3.411 Å, rel. 23.2; 1.393 Å, rel. 20.4; 1.976 Å, rel. 16.4; 3.951 Å, rel. 16.2; 1.247 Å, rel. 14.1; 1.481 Å, rel. 12.6; 2.582 Å, rel. 11.1

---

Record 10
# TmFe4Tc
Simulated PXRD pattern, Cu Kα, 1.54184 Å. Input: a structure optimized by DFT (GGA-PBE).
Kinematic intensities with the Lorentz-polarization factor, no thermal factor.

Structural model:
```
TmFe4Tc
1.0
4.854 0.000 0.000
-2.427 4.204 0.000
0.000 0.000 8.022
Tm Fe Tc
2 8 2
direct
0.333 0.667 0.424 Tm
0.667 0.333 0.576 Tm
0.000 0.000 0.000 Fe
0.000 0.000 0.500 Fe
0.168 0.336 0.766 Fe
0.168 0.832 0.766 Fe
0.336 0.168 0.234 Fe
0.664 0.832 0.766 Fe
0.832 0.168 0.234 Fe
0.832 0.664 0.234 Fe
0.333 0.667 0.043 Tc
0.667 0.333 0.957 Tc
```

Main lines, by intensity (10° ≤ 2θ ≤ 90°):
2.077 Å, rel. 100.0; 2.256 Å, rel. 95.6; 2.427 Å, rel. 63.9; 2.033 Å, rel. 60.9; 1.366 Å, rel. 36.7; 2.902 Å, rel. 30.9; 1.275 Å, rel. 27.7; 1.214 Å, rel. 22.8; 1.323 Å, rel. 21.8; 1.128 Å, rel. 16.6; 2.102 Å, rel. 15.5; 3.724 Å, rel. 11.8

---

Record 11
# UFeTc
Simulated PXRD pattern, Cu Kα, 1.54184 Å. Input: a structure optimized by DFT (GGA-PBE).
Kinematic intensities with the Lorentz-polarization factor, no thermal factor.

Structural model:
```
UFeTc
1.0
1.915 -6.453 0.000
1.915 6.453 0.000
0.000 0.000 3.874
U Fe Tc
2 2 2
direct
0.142 0.858 0.000 U
0.858 0.142 0.000 U
0.000 0.000 0.500 Fe
0.500 0.500 0.000 Fe
0.343 0.657 0.500 Tc
0.657 0.343 0.500 Tc
```

Main lines, by intensity (10° ≤ 2θ ≤ 90°):
2.301 Å, rel. 100.0; 3.226 Å, rel. 22.0; 2.665 Å, rel. 22.0; 1.937 Å, rel. 17.0; 1.915 Å, rel. 16.4; 1.527 Å, rel. 14.0; 2.151 Å, rel. 13.3; 1.177 Å, rel. 12.0; 1.167 Å, rel. 11.7; 3.874 Å, rel. 11.3; 1.362 Å, rel. 10.8; 1.661 Å, rel. 10.1

---

Record 12
# UFeTc
Simulated PXRD pattern, Cu Kα, 1.54184 Å. Input: a structure optimized by DFT (GGA-PBE).
Kinematic intensities with the Lorentz-polarization factor, no thermal factor.

Structural model:
```
UFeTc
1.0
-2.289 2.806 3.754
2.289 -2.806 3.754
2.289 2.806 -3.754
U Fe Tc
2 2 2
direct
0.387 0.137 0.250 U
0.613 0.863 0.750 U
0.000 0.000 0.500 Fe
0.000 0.500 0.000 Fe
0.000 0.500 0.500 Tc
0.500 0.500 0.000 Tc
```

Main lines, by intensity (10° ≤ 2θ ≤ 90°):
2.578 Å, rel. 100.0; 2.279 Å, rel. 86.6; 2.196 Å, rel. 54.0; 2.039 Å, rel. 53.8; 2.287 Å, rel. 48.5; 4.495 Å, rel. 47.9; 1.289 Å, rel. 32.3; 2.247 Å, rel. 24.9; 1.572 Å, rel. 23.1; 2.806 Å, rel. 21.4; 1.451 Å, rel. 17.6; 1.182 Å, rel. 17.5

---

Record 13
# Fe8Tc3W
Simulated PXRD pattern, Cu Kα, 1.54184 Å. Input: a structure optimized by DFT (GGA-PBE).
Kinematic intensities with the Lorentz-polarization factor, no thermal factor.

Structural model:
```
Fe8Tc3W
1.0
4.645 0.000 0.000
-2.323 4.023 0.000
0.000 0.000 7.674
Fe Tc W
8 3 1
direct
0.000 0.000 0.000 Fe
0.000 0.000 0.500 Fe
0.170 0.340 0.252 Fe
0.170 0.830 0.252 Fe
0.340 0.170 0.750 Fe
0.660 0.830 0.252 Fe
0.830 0.170 0.750 Fe
0.830 0.660 0.750 Fe
0.333 0.667 0.566 Tc
0.333 0.667 0.934 Tc
0.667 0.333 0.437 Tc
0.667 0.333 0.065 W
```

Main lines, by intensity (10° ≤ 2θ ≤ 90°):
2.158 Å, rel. 100.0; 1.987 Å, rel. 99.1; 1.946 Å, rel. 64.7; 2.323 Å, rel. 57.7; 1.307 Å, rel. 36.0; 1.220 Å, rel. 30.9; 1.161 Å, rel. 22.2; 1.266 Å, rel. 21.3; 2.011 Å, rel. 15.2; 3.563 Å, rel. 13.7; 2.776 Å, rel. 12.9; 4.023 Å, rel. 9.9